[1]
Structure and theoretical PXRD pattern of KMg14BO16 (DFT lattice parameters and positions (GGA-PBE); Cu Kα, 1.54184 Å).

Peak list (10 most intense, 2θ = 15–90°, by angle)
| two_theta | I/Imax |
| --- | --- |
| 31.57 | 49 |
| 36.14 | 202 |
| 40.84 | 622 |
| 42.54 | 1000 |
| 60.44 | 604 |
| 61.73 | 258 |
| 71.30 | 45 |
| 73.67 | 112 |
| 76.69 | 246 |
| 88.51 | 47 |

Cell and atoms:
```
data_KMg14BO16
_cell_length_a 8.501
_cell_length_b 8.501
_cell_length_c 4.419
_cell_angle_alpha 90.00
_cell_angle_beta 90.00
_cell_angle_gamma 90.00
_symmetry_space_group_name_H-M 'P 1'
_symmetry_Int_Tables_number 1
_symmetry_space_group_name_Hall 'P 1'
loop_
_atom_site_label
_atom_site_type_symbol
_atom_site_fract_x
_atom_site_fract_y
_atom_site_fract_z
K1 K 0.000 0.000 0.000
Mg1 Mg 0.000 0.250 0.500
Mg2 Mg 0.000 0.500 0.000
Mg3 Mg 0.000 0.750 0.500
Mg4 Mg 0.250 0.000 0.500
Mg5 Mg 0.252 0.252 0.000
Mg6 Mg 0.252 0.748 0.000
Mg7 Mg 0.259 0.500 0.500
Mg8 Mg 0.500 0.000 0.000
Mg9 Mg 0.500 0.259 0.500
Mg10 Mg 0.500 0.741 0.500
Mg11 Mg 0.741 0.500 0.500
Mg12 Mg 0.748 0.252 0.000
Mg13 Mg 0.748 0.748 0.000
Mg14 Mg 0.750 0.000 0.500
B1 B 0.500 0.500 0.000
O1 O 0.000 0.000 0.500
O2 O 0.000 0.278 0.000
O3 O 0.000 0.500 0.500
O4 O 0.000 0.722 0.000
O5 O 0.252 0.252 0.500
O6 O 0.252 0.748 0.500
O7 O 0.278 0.000 0.000
O8 O 0.296 0.500 0.000
O9 O 0.500 0.000 0.500
O10 O 0.500 0.296 0.000
O11 O 0.500 0.500 0.500
O12 O 0.500 0.704 0.000
O13 O 0.704 0.500 0.000
O14 O 0.722 0.000 0.000
O15 O 0.748 0.252 0.500
O16 O 0.748 0.748 0.500
```

[2]
Structure and theoretical PXRD pattern of KNa2BO3 (DFT lattice parameters and positions (GGA-PBE); Cu Kα, 1.54184 Å).

Peak list (10 most intense, 2θ = 15–90°, by angle)
| two_theta | I/Imax |
| --- | --- |
| 26.67 | 318 |
| 29.25 | 275 |
| 31.66 | 558 |
| 33.37 | 654 |
| 35.03 | 406 |
| 35.55 | 682 |
| 37.06 | 749 |
| 38.56 | 411 |
| 46.66 | 1000 |
| 58.95 | 204 |

Cell and atoms:
```
data_KNa2BO3
_cell_length_a 5.652
_cell_length_b 6.106
_cell_length_c 5.644
_cell_angle_alpha 90.00
_cell_angle_beta 90.00
_cell_angle_gamma 90.00
_symmetry_space_group_name_H-M 'P 1'
_symmetry_Int_Tables_number 1
_symmetry_space_group_name_Hall 'P 1'
loop_
_atom_site_label
_atom_site_type_symbol
_atom_site_fract_x
_atom_site_fract_y
_atom_site_fract_z
K1 K 0.250 0.250 0.076
K2 K 0.750 0.750 0.924
Na1 Na 0.250 0.521 0.627
Na2 Na 0.250 0.979 0.627
Na3 Na 0.750 0.021 0.373
Na4 Na 0.750 0.479 0.373
B1 B 0.250 0.750 0.204
B2 B 0.750 0.250 0.796
O1 O 0.038 0.750 0.334
O2 O 0.250 0.750 0.958
O3 O 0.462 0.750 0.334
O4 O 0.538 0.250 0.666
O5 O 0.750 0.250 0.042
O6 O 0.962 0.250 0.666
```